Starting from a structure optimized by DFT (GGA+U), the XRD peak list of Li3TiNi3O8 was calculated for CuKα.

Structural model:
a b c (Å): 5.9293 5.9293 10.2243
angles (deg): 108.47 108.47 57.94
Fractional coordinates of all 30 atoms:
1 Li 0.0000 0.5000 0.5000
2 Li 0.2473 0.2484 0.2490
3 Li 0.2484 0.2473 0.7490
4 Li 0.5000 0.0000 0.0000
5 Li 0.7516 0.7527 0.2510
6 Li 0.7527 0.7516 0.7510
7 Ti 0.2514 0.7486 0.2500
8 Ti 0.7486 0.2514 0.7500
9 Ni 0.0000 0.0000 0.0000
10 Ni 0.0000 0.0000 0.5000
11 Ni 0.2446 0.7554 0.7500
12 Ni 0.5000 0.5000 0.0000
13 Ni 0.5000 0.5000 0.5000
14 Ni 0.7554 0.2446 0.2500
15 O 0.1056 0.1210 0.3630
16 O 0.1210 0.1056 0.8630
17 O 0.1259 0.6542 0.3755
18 O 0.1378 0.6588 0.8697
19 O 0.3412 0.8622 0.6303
20 O 0.3458 0.8741 0.1245
21 O 0.3768 0.3997 0.6410
22 O 0.3997 0.3768 0.1410
23 O 0.6003 0.6232 0.8590
24 O 0.6232 0.6003 0.3590
25 O 0.6542 0.1259 0.8755
26 O 0.6588 0.1378 0.3697
27 O 0.8622 0.3412 0.1303
28 O 0.8741 0.3458 0.6245
29 O 0.8790 0.8944 0.1370
30 O 0.8944 0.8790 0.6370

Largest 8 diffraction maxima, sorted by position, 10° ≤ 2θ ≤ 90°:
2θ = 18.35°, rel. 100
2θ = 35.46°, rel. 14
2θ = 36.53°, rel. 25
2θ = 37.79°, rel. 12
2θ = 42.55°, rel. 23
2θ = 44.33°, rel. 42
2θ = 62.74°, rel. 12
2θ = 63.51°, rel. 12